Starting from a structure optimized by DFT (GGA+U), the powder diffraction line list of KV2IrO8 was computed for Cu Kα, 1.54184 Å.
Lines closer than 0.1° are merged.

Main lines, sorted by position (10 to 90 degrees two-theta):
(0 0 1), 2θ = 11.29°, I = 100
(1 1 0), 2θ = 18.44°, I = 39
(2 0 0), 2θ = 19.73°, I = 31
(1 1 -1), 2θ = 21.46°, I = 65
(2 0 1), 2θ = 23.19°, I = 36
(1 1 -2), 2θ = 29.08°, I = 49
(1 1 2), 2θ = 29.72°, I = 29
(2 0 2), 2θ = 30.87°, I = 10
(0 2 0), 2θ = 31.42°, I = 22
(3 1 0), 2θ = 33.77°, I = 35
(0 2 2), 2θ = 39.12°, I = 12
(2 2 2), 2θ = 44.63°, I = 10

Structure:
```
data_KV2IrO8
_chemical_formula_sum 'K2 V4 Ir2 O16'
_symmetry_space_group_name_H-M 'C 1 2/m 1'
_symmetry_Int_Tables_number 12
_cell_length_a 9.0074
_cell_length_b 5.6948
_cell_length_c 7.8415
_cell_angle_alpha 90.00
_cell_angle_beta 92.35
_cell_angle_gamma 90.00
loop_
_symmetry_equiv_pos_as_xyz
'x,y,z'
'-x,-y,-z'
'-x,y,-z'
'x,-y,z'
'x+1/2,y+1/2,z'
'-x+1/2,-y+1/2,-z'
'-x+1/2,y+1/2,-z'
'x+1/2,-y+1/2,z'
loop_
_atom_site_label
_atom_site_fract_x
_atom_site_fract_y
_atom_site_fract_z
_atom_site_occupancy
K1 0.0000 0.0000 0.0000 1
V1 0.1372 0.5000 0.2978 1
Ir1 0.0000 0.0000 0.5000 1
O1 0.0279 0.2382 0.3262 1
O2 0.1928 0.5000 0.0999 1
O3 0.2143 0.0000 0.5529 1
```